# CsSc3Cu2Te6
Theoretical powder X-ray diffraction pattern, CuKα. Input: a DFT-relaxed cell (PBE, the Materials Project).

Largest 12 diffraction maxima, in order of rising 2θ, 5° ≤ 2θ ≤ 70°:
d/Å	Position (°2θ)	I/Imax
3.467	25.70	46
3.389	26.29	100
3.340	26.69	55
2.948	30.32	100
2.927	30.55	47
2.106	42.94	61
2.090	43.29	29
2.079	43.54	31
2.048	44.21	55
1.797	50.82	29
1.765	51.78	31
1.474	63.08	19

Structure:
```
CsSc3Cu2Te6
1.0
8.952 -2.079 0.000
8.952 2.079 0.000
-4.066 0.000 9.574
Cs Sc Cu Te
1 3 2 6
Direct
0.000 0.000 0.000 Cs
0.000 0.000 0.500 Sc
0.288 0.288 0.362 Sc
0.712 0.712 0.638 Sc
0.277 0.277 0.082 Cu
0.723 0.723 0.918 Cu
0.140 0.140 0.421 Te
0.297 0.297 0.854 Te
0.428 0.428 0.290 Te
0.572 0.572 0.710 Te
0.703 0.703 0.146 Te
0.860 0.860 0.579 Te
```